The following is a computed powder diffraction line list of Zr3ScTe6. It was derived from a PBE-relaxed structure, using a wavelength of 1.5418 Å.

Crystal structure
Lattice parameters (Å, degrees): 9.1001 9.1001 7.0589 90.00 90.00 102.05
Fractional positions:
1 Zr 0.0886 0.9114 0.5000
2 Zr 0.2307 0.4504 0.3886
3 Zr 0.4504 0.2307 0.8886
4 Zr 0.5496 0.7693 0.3886
5 Zr 0.7693 0.5496 0.8886
6 Zr 0.9114 0.0886 0.0000
7 Sc 0.3373 0.6627 0.8538
8 Sc 0.6627 0.3373 0.3538
9 Te 0.0565 0.6044 0.6608
10 Te 0.1419 0.2050 0.7049
11 Te 0.2050 0.1419 0.2049
12 Te 0.2502 0.7498 0.2222
13 Te 0.3956 0.9435 0.6608
14 Te 0.4949 0.5051 0.1276
15 Te 0.5051 0.4949 0.6276
16 Te 0.6044 0.0565 0.1608
17 Te 0.7498 0.2502 0.7222
18 Te 0.7950 0.8581 0.7049
19 Te 0.8581 0.7950 0.2049
20 Te 0.9435 0.3956 0.1608

Peak list (10 most intense, 5 to 70 degrees two-theta, by angle)
2θ = 16.0°, I 27; 2θ = 25.2°, I 51; 2θ = 27.3°, I 38; 2θ = 32.4°, I 42; 2θ = 32.7°, I 100; 2θ = 35.2°, I 72; 2θ = 35.9°, I 74; 2θ = 39.7°, I 52; 2θ = 47.7°, I 34; 2θ = 61.1°, I 34



The following is a computed powder diffraction line list of ZrSc2Te. It was derived from a PBE-relaxed structure, using a wavelength of 1.5418 Å.

Crystal structure
Lattice parameters (Å, degrees): 3.7031 3.7175 6.6851 90.00 90.00 90.00
Fractional positions:
1 Zr 0.0000 0.0000 0.0000
2 Sc 0.5000 0.5000 0.2580
3 Sc 0.5000 0.5000 0.7420
4 Te 0.0000 0.0000 0.5000

Peak list (10 most intense, 5 to 70 degrees two-theta, by angle)
2θ = 24.0°, I 25; 2θ = 26.7°, I 10; 2θ = 34.2°, I 59; 2θ = 36.2°, I 100; 2θ = 43.9°, I 10; 2θ = 49.0°, I 10; 2θ = 49.2°, I 10; 2θ = 62.4°, I 19; 2θ = 62.6°, I 19; 2θ = 66.3°, I 16



The following is a computed powder diffraction line list of Zr2ScTe5. It was derived from a PBE-relaxed structure, using a wavelength of 1.5418 Å.

Crystal structure
Lattice parameters (Å, degrees): 9.3778 8.4839 5.6057 80.65 63.21 36.14
Fractional positions:
1 Zr 0.1851 0.1851 0.8149
2 Zr 0.8149 0.8149 0.1851
3 Sc 0.5000 0.5000 0.5000
4 Te 0.0000 0.0000 0.0000
5 Te 0.1789 0.5083 0.4917
6 Te 0.4917 0.8211 0.1789
7 Te 0.5083 0.1789 0.8211
8 Te 0.8211 0.4917 0.5083

Peak list (10 most intense, 5 to 70 degrees two-theta, by angle)
2θ = 11.0°, I 28; 2θ = 28.9°, I 29; 2θ = 32.2°, I 74; 2θ = 32.4°, I 73; 2θ = 33.5°, I 68; 2θ = 36.2°, I 100; 2θ = 42.9°, I 22; 2θ = 43.8°, I 24; 2θ = 47.2°, I 41; 2θ = 60.0°, I 22



The following is a computed powder diffraction line list of Th6Sc5. It was derived from a PBE-relaxed structure, using a wavelength of 1.5418 Å.

Crystal structure
Lattice parameters (Å, degrees): 6.2717 6.2717 10.4121 90.00 90.00 127.46
Fractional positions:
1 Th 0.0000 0.0000 0.2063
2 Th 0.0000 0.0000 0.7937
3 Th 0.3486 0.6514 0.2952
4 Th 0.3486 0.6514 0.7048
5 Th 0.6514 0.3486 0.2952
6 Th 0.6514 0.3486 0.7048
7 Sc 0.1369 0.8631 0.5000
8 Sc 0.2087 0.7913 0.0000
9 Sc 0.5000 0.5000 0.0000
10 Sc 0.7913 0.2087 0.0000
11 Sc 0.8631 0.1369 0.5000

Peak list (10 most intense, 5 to 70 degrees two-theta, by angle)
2θ = 17.0°, I 62; 2θ = 28.7°, I 56; 2θ = 31.4°, I 46; 2θ = 32.3°, I 41; 2θ = 33.6°, I 100; 2θ = 36.7°, I 20; 2θ = 47.3°, I 18; 2θ = 54.9°, I 13; 2θ = 58.4°, I 21; 2θ = 65.1°, I 16



The following is a computed powder diffraction line list of Th6Sc5. It was derived from a PBE-relaxed structure, using a wavelength of 1.5418 Å.

Crystal structure
Lattice parameters (Å, degrees): 8.9416 8.9416 8.9416 146.43 124.07 66.83
Fractional positions:
1 Th 0.0653 0.3459 0.7194
2 Th 0.2119 0.0000 0.2119
3 Th 0.3735 0.6541 0.7194
4 Th 0.6265 0.3459 0.2806
5 Th 0.7881 0.0000 0.7881
6 Th 0.9347 0.6541 0.2806
7 Sc 0.1954 0.1954 0.0000
8 Sc 0.3431 0.8431 0.5000
9 Sc 0.5000 0.5000 0.0000
10 Sc 0.6569 0.1569 0.5000
11 Sc 0.8046 0.8046 0.0000

Peak list (10 most intense, 5 to 70 degrees two-theta, by angle)
2θ = 21.2°, I 36; 2θ = 24.8°, I 61; 2θ = 32.9°, I 100; 2θ = 34.7°, I 30; 2θ = 36.1°, I 20; 2θ = 41.0°, I 15; 2θ = 42.2°, I 12; 2θ = 51.0°, I 15; 2θ = 56.6°, I 14; 2θ = 61.1°, I 17



The following is a computed powder diffraction line list of Th3Sc8. It was derived from a PBE-relaxed structure, using a wavelength of 1.5418 Å.

Crystal structure
Lattice parameters (Å, degrees): 6.9979 6.9979 6.9979 100.51 100.51 100.51
Fractional positions:
1 Th 0.0000 0.5000 0.5000
2 Th 0.5000 0.0000 0.5000
3 Th 0.5000 0.5000 0.0000
4 Sc 0.0177 0.0177 0.3121
5 Sc 0.0177 0.3121 0.0177
6 Sc 0.3121 0.0177 0.0177
7 Sc 0.3610 0.3610 0.3610
8 Sc 0.6390 0.6390 0.6390
9 Sc 0.6879 0.9823 0.9823
10 Sc 0.9823 0.6879 0.9823
11 Sc 0.9823 0.9823 0.6879

Peak list (10 most intense, 5 to 70 degrees two-theta, by angle)
2θ = 21.2°, I 79; 2θ = 26.6°, I 100; 2θ = 26.9°, I 25; 2θ = 31.4°, I 28; 2θ = 33.3°, I 46; 2θ = 36.0°, I 34; 2θ = 39.8°, I 26; 2θ = 43.9°, I 55; 2θ = 52.8°, I 27; 2θ = 55.5°, I 21



The following is a computed powder diffraction line list of Th4Sc. It was derived from a PBE-relaxed structure, using a wavelength of 1.5418 Å.

Crystal structure
Lattice parameters (Å, degrees): 3.5347 3.5347 42.4995 90.00 90.00 120.00
Fractional positions:
1 Th 0.0000 0.0000 0.1021
2 Th 0.0000 0.0000 0.2990
3 Th 0.0000 0.0000 0.7010
4 Th 0.0000 0.0000 0.8979
5 Th 0.3333 0.6667 0.3677
6 Th 0.3333 0.6667 0.5646
7 Th 0.3333 0.6667 0.7687
8 Th 0.3333 0.6667 0.9657
9 Th 0.6667 0.3333 0.0343
10 Th 0.6667 0.3333 0.2313
11 Th 0.6667 0.3333 0.4354
12 Th 0.6667 0.3333 0.6323
13 Sc 0.0000 0.0000 0.5000
14 Sc 0.3333 0.6667 0.1667
15 Sc 0.6667 0.3333 0.8333

Peak list (10 most intense, 5 to 70 degrees two-theta, by angle)
2θ = 6.2°, I 30; 2θ = 31.1°, I 100; 2θ = 31.6°, I 31; 2θ = 36.2°, I 67; 2θ = 51.7°, I 25; 2θ = 52.4°, I 23; 2θ = 61.6°, I 15; 2θ = 61.9°, I 28; 2θ = 62.5°, I 14; 2θ = 64.7°, I 13



The following is a computed powder diffraction line list of Th5Sc2. It was derived from a PBE-relaxed structure, using a wavelength of 1.5418 Å.

Crystal structure
Lattice parameters (Å, degrees): 8.3428 8.3428 9.0240 92.95 92.95 42.67
Fractional positions:
1 Th 0.0294 0.6930 0.0413
2 Th 0.1272 0.4398 0.6798
3 Th 0.1743 0.8257 0.7500
4 Th 0.3070 0.9706 0.4587
5 Th 0.4398 0.1272 0.1798
6 Th 0.5602 0.8728 0.8202
7 Th 0.6930 0.0294 0.5413
8 Th 0.8257 0.1743 0.2500
9 Th 0.8728 0.5602 0.3202
10 Th 0.9706 0.3070 0.9587
11 Sc 0.2736 0.5858 0.3941
12 Sc 0.4142 0.7264 0.1059
13 Sc 0.5858 0.2736 0.8941
14 Sc 0.7264 0.4142 0.6059

Peak list (10 most intense, 5 to 70 degrees two-theta, by angle)
2θ = 18.7°, I 9; 2θ = 25.1°, I 8; 2θ = 29.5°, I 23; 2θ = 31.2°, I 26; 2θ = 33.5°, I 100; 2θ = 43.5°, I 11; 2θ = 52.2°, I 13; 2θ = 57.0°, I 15; 2θ = 62.2°, I 11; 2θ = 63.6°, I 11



The following is a computed powder diffraction line list of Th7Sc3. It was derived from a PBE-relaxed structure, using a wavelength of 1.5418 Å.

Crystal structure
Lattice parameters (Å, degrees): 9.2231 9.2231 6.9689 101.04 101.04 31.19
Fractional positions:
1 Th 0.0000 0.0000 0.0000
2 Th 0.2001 0.2001 0.6028
3 Th 0.3976 0.3976 0.1990
4 Th 0.4010 0.4010 0.6953
5 Th 0.5990 0.5990 0.3047
6 Th 0.6024 0.6024 0.8010
7 Th 0.7999 0.7999 0.3972
8 Sc 0.0000 0.0000 0.5000
9 Sc 0.1988 0.1988 0.0968
10 Sc 0.8012 0.8012 0.9032

Peak list (10 most intense, 5 to 70 degrees two-theta, by angle)
2θ = 31.4°, I 100; 2θ = 36.2°, I 17; 2θ = 36.4°, I 17; 2θ = 36.5°, I 17; 2θ = 52.4°, I 24; 2θ = 52.5°, I 12; 2θ = 62.2°, I 15; 2θ = 62.4°, I 14; 2θ = 62.6°, I 14; 2θ = 65.5°, I 12



The following is a computed powder diffraction line list of ThSc5. It was derived from a PBE-relaxed structure, using a wavelength of 1.5418 Å.

Crystal structure
Lattice parameters (Å, degrees): 6.2657 6.2657 6.2657 55.24 55.24 55.24
Fractional positions:
1 Th 0.0000 0.0000 0.0000
2 Sc 0.1646 0.8354 0.5000
3 Sc 0.3326 0.3326 0.3326
4 Sc 0.5000 0.1646 0.8354
5 Sc 0.6674 0.6674 0.6674
6 Sc 0.8354 0.5000 0.1646

Peak list (10 most intense, 5 to 70 degrees two-theta, by angle)
2θ = 16.8°, I 20; 2θ = 18.5°, I 48; 2θ = 20.9°, I 35; 2θ = 30.8°, I 34; 2θ = 33.9°, I 24; 2θ = 35.2°, I 100; 2θ = 46.4°, I 21; 2θ = 54.7°, I 17; 2θ = 61.5°, I 19; 2θ = 65.9°, I 19



The following is a computed powder diffraction line list of Th2Sc2Tl3. It was derived from a PBE-relaxed structure, using a wavelength of 1.5418 Å.

Crystal structure
Lattice parameters (Å, degrees): 4.6014 24.2143 3.3744 90.00 90.00 90.00
Fractional positions:
1 Th 0.0000 0.0758 0.0000
2 Th 0.0000 0.9242 0.0000
3 Th 0.5000 0.4242 0.0000
4 Th 0.5000 0.5758 0.0000
5 Sc 0.0000 0.2077 0.0000
6 Sc 0.0000 0.7923 0.0000
7 Sc 0.5000 0.2923 0.0000
8 Sc 0.5000 0.7077 0.0000
9 Tl 0.0000 0.3373 0.5000
10 Tl 0.0000 0.5000 0.5000
11 Tl 0.0000 0.6627 0.5000
12 Tl 0.5000 0.0000 0.5000
13 Tl 0.5000 0.1627 0.5000
14 Tl 0.5000 0.8373 0.5000

Peak list (10 most intense, 5 to 70 degrees two-theta, by angle)
2θ = 7.3°, I 39; 2θ = 26.7°, I 44; 2θ = 32.4°, I 74; 2θ = 33.1°, I 100; 2θ = 34.7°, I 67; 2θ = 39.2°, I 30; 2θ = 53.3°, I 41; 2θ = 60.2°, I 25; 2θ = 64.7°, I 21; 2θ = 67.1°, I 13



The following is a computed powder diffraction line list of Tm2Th3Sc5. It was derived from a PBE-relaxed structure, using a wavelength of 1.5418 Å.

Crystal structure
Lattice parameters (Å, degrees): 8.9744 9.0096 9.0221 115.13 106.43 106.82
Fractional positions:
1 Tm 0.0480 0.0708 0.2237
2 Tm 0.4465 0.6834 0.0238
3 Tm 0.5535 0.3166 0.9762
4 Tm 0.9520 0.9292 0.7763
5 Th 0.1534 0.2300 0.6767
6 Th 0.2522 0.3818 0.1298
7 Th 0.2549 0.8709 0.6250
8 Th 0.7451 0.1291 0.3750
9 Th 0.7478 0.6182 0.8702
10 Th 0.8466 0.7700 0.3233
11 Sc 0.0442 0.5730 0.7196
12 Sc 0.1467 0.7214 0.1770
13 Sc 0.3471 0.0283 0.0731
14 Sc 0.3519 0.5265 0.5736
15 Sc 0.4483 0.1705 0.5202
16 Sc 0.5517 0.8295 0.4798
17 Sc 0.6481 0.4735 0.4264
18 Sc 0.6529 0.9717 0.9269
19 Sc 0.8533 0.2786 0.8230
20 Sc 0.9558 0.4270 0.2804

Peak list (10 most intense, 5 to 70 degrees two-theta, by angle)
2θ = 12.3°, I 25; 2θ = 16.5°, I 13; 2θ = 32.1°, I 34; 2θ = 32.2°, I 100; 2θ = 37.2°, I 22; 2θ = 37.3°, I 24; 2θ = 37.5°, I 22; 2θ = 53.8°, I 17; 2θ = 54.0°, I 17; 2θ = 64.1°, I 18



The following is a computed powder diffraction line list of Tm4ThSc. It was derived from a PBE-relaxed structure, using a wavelength of 1.5418 Å.

Crystal structure
Lattice parameters (Å, degrees): 11.4849 3.4841 9.7885 90.00 115.19 90.00
Fractional positions:
1 Tm 0.1645 0.0000 0.3310
2 Tm 0.1646 0.0000 0.8349
3 Tm 0.3354 0.5000 0.1651
4 Tm 0.3355 0.5000 0.6690
5 Tm 0.6645 0.5000 0.3310
6 Tm 0.6646 0.5000 0.8349
7 Tm 0.8354 0.0000 0.1651
8 Tm 0.8355 0.0000 0.6690
9 Th 0.0000 0.5000 0.5000
10 Th 0.5000 0.0000 0.5000
11 Sc 0.0000 0.5000 0.0000
12 Sc 0.5000 0.0000 0.0000

Peak list (10 most intense, 5 to 70 degrees two-theta, by angle)
2θ = 10.0°, I 21; 2θ = 31.5°, I 100; 2θ = 31.6°, I 97; 2θ = 36.6°, I 66; 2θ = 36.7°, I 33; 2θ = 52.8°, I 58; 2θ = 62.6°, I 28; 2θ = 62.9°, I 28; 2θ = 62.9°, I 27; 2θ = 65.8°, I 12



The following is a computed powder diffraction line list of Tm3ThSc3. It was derived from a PBE-relaxed structure, using a wavelength of 1.5418 Å.

Crystal structure
Lattice parameters (Å, degrees): 6.5710 6.5710 9.7226 93.29 93.29 104.29
Fractional positions:
1 Tm 0.1576 0.8424 0.0000
2 Tm 0.2294 0.7706 0.5000
3 Tm 0.3752 0.3752 0.1427
4 Tm 0.6248 0.6248 0.8573
5 Tm 0.7706 0.2294 0.5000
6 Tm 0.8424 0.1576 0.0000
7 Th 0.3015 0.3015 0.5313
8 Th 0.6985 0.6985 0.4687
9 Sc 0.0120 0.0120 0.2811
10 Sc 0.0800 0.4872 0.7752
11 Sc 0.4872 0.0800 0.7752
12 Sc 0.5128 0.9200 0.2248
13 Sc 0.9200 0.5128 0.2248
14 Sc 0.9880 0.9880 0.7189

Peak list (10 most intense, 5 to 70 degrees two-theta, by angle)
2θ = 18.3°, I 53; 2θ = 22.3°, I 25; 2θ = 28.1°, I 59; 2θ = 30.2°, I 31; 2θ = 30.3°, I 37; 2θ = 32.6°, I 100; 2θ = 34.3°, I 48; 2θ = 34.6°, I 57; 2θ = 44.8°, I 37; 2θ = 53.5°, I 21